This entry pairs a crystal structure of CsGdHgS3 with its theoretical XRD peak list. Radiation: CuKα. Structure: a PBE-relaxed structure.
Intensities are scaled so that the largest is 100.

The 10 most intense peaks (5 to 70 degrees two-theta), in order of falling intensity:
d = 7.926 Å, I = 100, hkl 1 0 -1
d = 3.963 Å, I = 47, hkl 2 0 -2
d = 2.993 Å, I = 46, hkl 2 1 0
d = 2.728 Å, I = 33, hkl 1 0 3
d = 2.663 Å, I = 33, hkl 1 1 -3
d = 3.341 Å, I = 32, hkl 1 1 1
d = 3.079 Å, I = 29, hkl 2 1 -1
d = 3.172 Å, I = 26, hkl 0 1 2
d = 3.222 Å, I = 22, hkl 1 1 -2
d = 2.159 Å, I = 22, hkl 2 1 -4

Cell and atoms:
Cell lengths 9.1180, 4.1921, 10.3492 Å; angles 90.00, 110.35, 90.00 degrees
Space group P2_1/m (No. 11)
Inequivalent atoms, fractional coordinates:
Cs1 0.2311 0.2500 0.2513 (multiplicity 2)
Gd1 0.3288 0.7500 0.8676 (multiplicity 2)
Hg1 0.0898 0.2500 0.6208 (multiplicity 2)
S1 0.1197 0.2500 0.8709 (multiplicity 2)
S2 0.2203 0.7500 0.5555 (multiplicity 2)
S3 0.4756 0.7500 0.1429 (multiplicity 2)


This entry pairs a crystal structure of Cs2GdHoS4 with its theoretical XRD peak list. Radiation: CuKα. Structure: a PBE-relaxed structure.
Intensities are scaled so that the largest is 100.

The 10 most intense peaks (5 to 70 degrees two-theta), in order of falling intensity:
d = 3.252 Å, I = 100, hkl 1 0 2
d = 2.963 Å, I = 52, hkl 0 1 3
d = 2.139 Å, I = 46, hkl 0 1 6
d = 2.054 Å, I = 39, hkl 1 1 0
d = 4.014 Å, I = 38, hkl 0 0 4
d = 1.828 Å, I = 27, hkl 1 1 4
d = 2.662 Å, I = 18, hkl 0 1 4
d = 3.473 Å, I = 17, hkl 1 0 1
d = 1.736 Å, I = 17, hkl 0 2 2
d = 1.435 Å, I = 16, hkl 1 1 8

Cell and atoms:
Cell lengths 4.1073, 4.1073, 16.0578 Å; angles 90.00, 90.00, 120.00 degrees
Space group P-3m1 (No. 164)
Inequivalent atoms, fractional coordinates:
Cs1 0.3333 0.6667 0.2502 (multiplicity 2)
Gd1 0.0000 0.0000 0.0000 (multiplicity 1)
Ho1 0.0000 0.0000 0.5000 (multiplicity 1)
S1 0.3333 0.6667 0.5903 (multiplicity 2)
S2 0.3333 0.6667 0.9076 (multiplicity 2)


This entry pairs a crystal structure of Cs2NdGdSe4 with its theoretical XRD peak list. Radiation: CuKα. Structure: a PBE-relaxed structure.
Intensities are scaled so that the largest is 100.

The 10 most intense peaks (5 to 70 degrees two-theta), in order of falling intensity:
d = 3.119 Å, I = 100, hkl 0 1 3
d = 3.432 Å, I = 71, hkl 1 0 2
d = 2.173 Å, I = 57, hkl 1 1 0
d = 2.240 Å, I = 53, hkl 0 1 6
d = 2.797 Å, I = 25, hkl 0 1 4
d = 1.783 Å, I = 19, hkl 2 0 3
d = 1.560 Å, I = 17, hkl 2 0 6
d = 8.363 Å, I = 17, hkl 0 0 2
d = 1.378 Å, I = 16, hkl 1 2 3
d = 1.507 Å, I = 15, hkl 1 1 8

Cell and atoms:
Cell lengths 4.3454, 4.3454, 16.7257 Å; angles 90.00, 90.00, 120.00 degrees
Space group P-3m1 (No. 164)
Inequivalent atoms, fractional coordinates:
Cs1 0.3333 0.6667 0.2519 (multiplicity 2)
Nd1 0.0000 0.0000 0.0000 (multiplicity 1)
Gd1 0.0000 0.0000 0.5000 (multiplicity 1)
Se1 0.3333 0.6667 0.5923 (multiplicity 2)
Se2 0.3333 0.6667 0.9030 (multiplicity 2)


Which formula does entry 2 have? Cs2GdHoS4


Repeat the second record exactly.
This entry pairs a crystal structure of Cs2GdHoS4 with its theoretical XRD peak list. Radiation: CuKα. Structure: a PBE-relaxed structure.
Intensities are scaled so that the largest is 100.

The 10 most intense peaks (5 to 70 degrees two-theta), in order of falling intensity:
d = 3.252 Å, I = 100, hkl 1 0 2
d = 2.963 Å, I = 52, hkl 0 1 3
d = 2.139 Å, I = 46, hkl 0 1 6
d = 2.054 Å, I = 39, hkl 1 1 0
d = 4.014 Å, I = 38, hkl 0 0 4
d = 1.828 Å, I = 27, hkl 1 1 4
d = 2.662 Å, I = 18, hkl 0 1 4
d = 3.473 Å, I = 17, hkl 1 0 1
d = 1.736 Å, I = 17, hkl 0 2 2
d = 1.435 Å, I = 16, hkl 1 1 8

Cell and atoms:
Cell lengths 4.1073, 4.1073, 16.0578 Å; angles 90.00, 90.00, 120.00 degrees
Space group P-3m1 (No. 164)
Inequivalent atoms, fractional coordinates:
Cs1 0.3333 0.6667 0.2502 (multiplicity 2)
Gd1 0.0000 0.0000 0.0000 (multiplicity 1)
Ho1 0.0000 0.0000 0.5000 (multiplicity 1)
S1 0.3333 0.6667 0.5903 (multiplicity 2)
S2 0.3333 0.6667 0.9076 (multiplicity 2)